Starting from a DFT-relaxed cell (PBE, Alexandria), the powder XRD pattern of Ca6In5Cu was calculated for Cu Kα.

The 12 most intense peaks (10° ≤ 2θ ≤ 80°), by angle:
Position (°2θ)	d [Å]	I_rel
22.9	3.875	12
23.4	3.800	23
33.0	2.713	100
33.3	2.692	24
33.4	2.682	24
46.9	1.938	9
47.9	1.900	17
58.8	1.572	17
59.3	1.558	16
59.5	1.554	17
69.3	1.357	10
79.7	1.204	10

Crystal structure
```
data_Ca6In5Cu
_chemical_formula_sum 'Ca6 In5 Cu1'
_symmetry_space_group_name_H-M 'P 1'
_symmetry_Int_Tables_number 1
_cell_length_a 8.5088
_cell_length_b 8.5088
_cell_length_c 7.7503
_cell_angle_alpha 90.00
_cell_angle_beta 90.00
_cell_angle_gamma 143.26
loop_
_symmetry_equiv_pos_as_xyz
'x,y,z'
loop_
_atom_site_label
_atom_site_fract_x
_atom_site_fract_y
_atom_site_fract_z
Ca1 0.0000 0.0000 0.2385
Ca2 0.0000 0.0000 0.7615
Ca3 0.3398 0.6602 0.2455
Ca4 0.3398 0.6602 0.7545
Ca5 0.6602 0.3398 0.2455
Ca6 0.6602 0.3398 0.7545
In1 0.1697 0.8303 0.5000
In2 0.1728 0.8272 0.0000
In3 0.5000 0.5000 0.5000
In4 0.8272 0.1728 0.0000
In5 0.8303 0.1697 0.5000
Cu1 0.5000 0.5000 0.0000
```